# Li2TcMoO6
Simulated powder XRD pattern, Cu Kα (weighted mean of Kα1 and Kα2). Input: the PBE+U geometry in Alexandria.
Intensities are scaled so that the largest is 100.

Structural model:
a = 5.568 Å, b = 5.568 Å, c = 3.856 Å
α = 90.00°, β = 90.00°, γ = 90.00°
Space group P4mm (No. 99)
Unique sites:
Li (0.000, 0.500, 0.000) x2
Tc (0.000, 0.000, 0.833) x1
Mo (0.500, 0.500, 0.805) x1
O (0.000, 0.000, 0.333) x1
O (0.252, 0.252, 0.838) x4
O (0.500, 0.500, 0.326) x1

Main lines, in order of falling intensity (10 to 90 degrees two-theta):
- 2θ 22.58, rel. 100
- 2θ 23.07, rel. 54
- 2θ 32.50, rel. 40
- 2θ 46.11, rel. 26
- 2θ 32.15, rel. 24
- 2θ 52.17, rel. 21
- 2θ 52.88, rel. 20
- 2θ 51.93, rel. 19
- 2θ 57.54, rel. 16
- 2θ 72.73, rel. 15
- 2θ 68.07, rel. 12
- 2θ 47.14, rel. 10